# 1
# BaTl7Cd5
Calculated XRD peak list, Cu Kα (λ = 1.5418 Å). Input: a PBE-relaxed structure.
Neutral-atom scattering factors, no anomalous dispersion.

Atomic structure:
abc: 8.459 8.459 8.459
angles: 137.96 100.19 94.61
Positions (direct):
Ba  0.000  0.000  0.000
Tl  0.203  0.501  0.702
Tl  0.220  0.720  0.500
Tl  0.354  0.002  0.352
Tl  0.358  0.358  0.000
Tl  0.647  0.647  0.000
Tl  0.650  0.002  0.648
Tl  0.799  0.501  0.298
Cd  0.510  0.004  0.007
Cd  0.510  0.503  0.506
Cd  0.782  0.282  0.500
Cd  0.997  0.004  0.494
Cd  0.997  0.503  0.993

Principal peaks in the range 10 to 90 degrees two-theta, sorted by position:
d [Å]  2theta  I_rel
3.235  27.57  34
3.107  28.73  56
3.034  29.44  45
2.868  31.19  44
2.779  32.21  80
2.732  32.78  100
2.682  33.41  47
2.648  33.85  33
2.522  35.60  50
2.404  37.40  91

***

# 2
# Ba11Tl9Cd4
Calculated XRD peak list, Cu Kα (λ = 1.5418 Å). Input: a PBE-relaxed structure.
Neutral-atom scattering factors, no anomalous dispersion.

Atomic structure:
abc: 15.238 15.238 4.313
angles: 90.00 90.00 111.44
Positions (direct):
Ba  0.000  0.000  0.000
Ba  0.074  0.413  0.000
Ba  0.170  0.830  0.000
Ba  0.249  0.249  0.000
Ba  0.353  0.647  0.000
Ba  0.413  0.074  0.000
Ba  0.587  0.926  0.000
Ba  0.647  0.353  0.000
Ba  0.751  0.751  0.000
Ba  0.830  0.170  0.000
Ba  0.926  0.587  0.000
Tl  0.039  0.205  0.500
Tl  0.150  0.628  0.500
Tl  0.205  0.039  0.500
Tl  0.372  0.850  0.500
Tl  0.500  0.500  0.500
Tl  0.628  0.150  0.500
Tl  0.795  0.961  0.500
Tl  0.850  0.372  0.500
Tl  0.961  0.795  0.500
Cd  0.276  0.446  0.500
Cd  0.446  0.276  0.500
Cd  0.554  0.724  0.500
Cd  0.724  0.554  0.500

Principal peaks in the range 10 to 90 degrees two-theta, sorted by position:
d [Å]  2theta  I_rel
3.218  27.72  10
3.042  29.36  49
3.004  29.74  100
2.156  41.90  12
2.146  42.11  10
2.098  43.11  8
1.751  52.24  23
1.747  52.38  15
1.727  53.01  13
1.521  60.91  7

***

# 3
# Ba2TlCd5
Calculated XRD peak list, Cu Kα (λ = 1.5418 Å). Input: a PBE-relaxed structure.
Neutral-atom scattering factors, no anomalous dispersion.

Atomic structure:
abc: 9.695 9.695 10.430
angles: 90.00 90.00 149.24
Positions (direct):
Ba  0.000  0.000  0.000
Ba  0.000  0.000  0.500
Ba  0.202  0.798  0.750
Ba  0.798  0.202  0.250
Tl  0.443  0.557  0.250
Tl  0.557  0.443  0.750
Cd  0.186  0.814  0.108
Cd  0.186  0.814  0.392
Cd  0.346  0.654  0.018
Cd  0.346  0.654  0.482
Cd  0.399  0.601  0.750
Cd  0.601  0.399  0.250
Cd  0.654  0.346  0.518
Cd  0.654  0.346  0.982
Cd  0.814  0.186  0.608
Cd  0.814  0.186  0.892

Principal peaks in the range 10 to 90 degrees two-theta, sorted by position:
d [Å]  2theta  I_rel
3.594  24.78  44
3.157  28.27  100
3.024  29.54  76
2.847  31.42  50
2.675  33.50  42
2.572  34.89  72
2.320  38.81  29
2.310  39.00  37
2.282  39.49  25
1.854  49.15  28

***

# 4
# Ba2TlCd9
Calculated XRD peak list, Cu Kα (λ = 1.5418 Å). Input: a PBE-relaxed structure.
Neutral-atom scattering factors, no anomalous dispersion.

Atomic structure:
abc: 10.399 10.399 10.399
angles: 35.94 35.94 35.94
Positions (direct):
Ba  0.138  0.138  0.138
Ba  0.862  0.862  0.862
Tl  0.000  0.000  0.000
Cd  0.076  0.585  0.585
Cd  0.335  0.335  0.335
Cd  0.415  0.415  0.924
Cd  0.415  0.924  0.415
Cd  0.500  0.500  0.500
Cd  0.585  0.076  0.585
Cd  0.585  0.585  0.076
Cd  0.665  0.665  0.665
Cd  0.924  0.415  0.415

Principal peaks in the range 10 to 90 degrees two-theta, sorted by position:
d [Å]  2theta  I_rel
3.332  26.75  19
3.208  27.81  34
3.047  29.31  29
2.766  32.37  37
2.729  32.81  17
2.677  33.47  100
2.508  35.80  25
2.429  37.01  18
1.731  52.90  29
1.604  57.44  28

***

# 5
# Ba3Tl4Cd7
Calculated XRD peak list, Cu Kα (λ = 1.5418 Å). Input: a PBE-relaxed structure.
Neutral-atom scattering factors, no anomalous dispersion.

Atomic structure:
abc: 9.661 9.661 10.346
angles: 122.32 122.32 31.73
Positions (direct):
Ba  0.000  0.000  0.000
Ba  0.292  0.292  0.295
Ba  0.708  0.708  0.705
Tl  0.146  0.146  0.858
Tl  0.341  0.341  0.698
Tl  0.659  0.659  0.302
Tl  0.854  0.854  0.142
Cd  0.000  0.000  0.500
Cd  0.134  0.134  0.422
Cd  0.351  0.351  0.994
Cd  0.499  0.499  0.668
Cd  0.501  0.501  0.332
Cd  0.649  0.649  0.006
Cd  0.866  0.866  0.578

Principal peaks in the range 10 to 90 degrees two-theta, sorted by position:
d [Å]  2theta  I_rel
3.096  28.84  53
3.003  29.76  100
2.985  29.94  64
2.888  30.97  58
2.705  33.12  50
2.641  33.95  86
2.575  34.84  39
2.313  38.94  44
2.297  39.21  42
1.600  57.61  37

***

# 6
# Ba7Tl2Cd2
Calculated XRD peak list, Cu Kα (λ = 1.5418 Å). Input: a PBE-relaxed structure.
Neutral-atom scattering factors, no anomalous dispersion.

Atomic structure:
abc: 7.945 7.945 8.950
angles: 90.00 90.00 110.39
Positions (direct):
Ba  0.000  0.000  0.000
Ba  0.000  0.500  0.285
Ba  0.000  0.500  0.715
Ba  0.500  0.000  0.285
Ba  0.500  0.000  0.715
Ba  0.500  0.500  0.270
Ba  0.500  0.500  0.730
Tl  0.166  0.166  0.500
Tl  0.834  0.834  0.500
Cd  0.296  0.704  0.000
Cd  0.704  0.296  0.000

Principal peaks in the range 10 to 90 degrees two-theta, sorted by position:
d [Å]  2theta  I_rel
5.272  16.82  32
4.045  21.97  51
3.836  23.19  59
3.724  23.90  29
3.690  24.12  30
3.262  27.34  72
2.948  30.31  84
2.862  31.25  100
2.798  31.99  24
2.392  37.60  34